Diffraction record for KPO4. The powder XRD pattern is computed, not measured: it uses a cell relaxed with GGA-PBE and λ = 1.5418 Å (Cu Kα).
Neutral-atom scattering factors, no anomalous dispersion.

The 6 most intense peaks (2θ from 10° to 90°), by angle:
- 16.6 deg, rel. 17
- 21.5 deg, rel. 100
- 29.8 deg, rel. 31
- 30.6 deg, rel. 23
- 43.2 deg, rel. 37
- 63.2 deg, rel. 11

Structural model:
```
KPO4
1.0
-4.1343 4.1343 3.4928
4.1343 -4.1343 3.4928
4.1343 4.1343 -3.4928
K P O
2 2 8
Cartesian
0.0000 0.0000 0.0000
0.0000 4.1343 1.7464
4.1343 0.0000 1.7464
0.0000 0.0000 3.4928
3.5661 0.9816 0.6810
0.9816 -0.5682 2.4274
3.1527 -0.5682 2.8118
3.1527 4.7025 -1.0654
0.9816 4.7025 -0.6810
3.5661 3.1527 1.0654
0.5682 0.9816 4.5582
0.5682 3.1527 4.1738
```